Simulated XRD peak list of AlIn2I6 for a wavelength of 1.5418 Å, from the GGA-PBE geometry in Alexandria.
Neutral-atom scattering factors, no anomalous dispersion.

Atomic structure:
Cell: 9.504 9.626 12.382 Å, 90.00 130.10 90.00°
Space group P2_1/c (No. 14)
One atom of each set of equivalent atoms:
Al: 0.000 0.000 0.000 [2 per cell]
In: 0.047 0.242 0.768 [4 per cell]
I: 0.091 0.209 0.538 [4 per cell]
I: 0.265 0.538 0.789 [4 per cell]
I: 0.265 0.551 0.476 [4 per cell]

Peak list (10 most intense, 15 to 90 degrees two-theta, in order of falling intensity)
two_theta	d_spacing	I (rel.)	h k l
30.8	2.900	100	2 2 0
22.2	4.013	90	1 2 0
34.4	2.603	84	2 2 -4
30.5	2.935	66	1 3 0
38.3	2.348	60	4 0 -4
24.2	3.678	53	1 1 -3
29.4	3.037	52	1 3 -1
26.2	3.400	48	2 1 0
24.3	3.663	48	2 1 -3
30.0	2.974	36	3 1 -3